Entry 1:
For Y4HoRu5, a crystal structure in Alexandria, relaxed with PBE gives the theoretical PXRD pattern in this record (Cu Kα (weighted mean of Kα1 and Kα2)).

Largest 10 diffraction maxima, by angle, 10° ≤ 2θ ≤ 90°:
index	2θ/deg	d [Å]	Rel. int.
0 0 2	10.40	8.503	2
0 0 3	15.63	5.668	1
1 0 1	26.67	3.343	1
1 0 2	28.20	3.165	1
1 1 0	37.33	2.409	100
2 0 0	53.77	1.705	11
0 0 10	53.92	1.701	6
2 1 5	67.33	1.391	34
2 2 0	79.51	1.205	4
2 0 10	79.63	1.204	7

Lattice parameters (Å, degrees): 3.410 3.410 17.005 90.00 90.00 90.00
Fractional positions:
Y (0.000, 0.000, 0.100)
Y (0.000, 0.000, 0.301)
Y (0.000, 0.000, 0.699)
Y (0.000, 0.000, 0.900)
Ho (0.000, 0.000, 0.500)
Ru (0.500, 0.500, 0.000)
Ru (0.500, 0.500, 0.201)
Ru (0.500, 0.500, 0.402)
Ru (0.500, 0.500, 0.598)
Ru (0.500, 0.500, 0.799)



Entry 2:
For Cs2AgBr3, a crystal structure in Alexandria, relaxed with PBE gives the theoretical PXRD pattern in this record (Cu Kα (weighted mean of Kα1 and Kα2)).

Largest 10 diffraction maxima, by angle, 10° ≤ 2θ ≤ 90°:
index	2θ/deg	d [Å]	Rel. int.
0 1 3	22.63	3.929	48
1 0 5	24.11	3.691	50
2 1 1	25.61	3.479	89
2 1 2	26.79	3.328	100
1 1 4	27.07	3.294	76
3 0 2	27.68	3.222	56
1 0 6	28.47	3.135	44
1 1 5	30.34	2.946	48
0 2 0	36.75	2.445	77
1 1 7	37.78	2.381	41

Lattice parameters (Å, degrees): 10.224 4.890 19.792 90.00 90.00 90.00
Fractional positions:
Cs (0.084, 0.250, 0.212)
Cs (0.247, 0.750, 0.454)
Cs (0.253, 0.250, 0.954)
Cs (0.416, 0.750, 0.712)
Cs (0.584, 0.250, 0.288)
Cs (0.747, 0.750, 0.046)
Cs (0.753, 0.250, 0.546)
Cs (0.916, 0.750, 0.788)
Ag (0.136, 0.250, 0.635)
Ag (0.364, 0.750, 0.135)
Ag (0.636, 0.250, 0.865)
Ag (0.864, 0.750, 0.365)
Br (0.016, 0.750, 0.604)
Br (0.128, 0.750, 0.071)
Br (0.178, 0.250, 0.772)
Br (0.322, 0.750, 0.272)
Br (0.372, 0.250, 0.571)
Br (0.484, 0.250, 0.104)
Br (0.516, 0.750, 0.896)
Br (0.628, 0.750, 0.429)
Br (0.678, 0.250, 0.728)
Br (0.822, 0.750, 0.228)
Br (0.872, 0.250, 0.929)
Br (0.984, 0.250, 0.396)